[1]
Diffraction record for LaNdS4. The XRD peak list is calculated, not measured: it uses DFT lattice parameters and positions (PBE) and CuKα.
Kinematic intensities with the Lorentz-polarization factor, no thermal factor.

Main lines, low angle first (10° ≤ 2θ ≤ 80°):
21.5 deg, rel. 29, (0 0 2)
24.7 deg, rel. 100, (1 0 1)
31.6 deg, rel. 41, (1 1 0)
38.5 deg, rel. 70, (1 1 2)
39.7 deg, rel. 47, (1 0 3)
45.3 deg, rel. 32, (2 0 0)
52.3 deg, rel. 27, (2 1 1)
61.8 deg, rel. 25, (2 1 3)

Crystal structure
```
data_LaNdS4
_symmetry_space_group_name_H-M 'P 1'
_symmetry_Int_Tables_number 1
_cell_length_a 4.003
_cell_length_b 4.003
_cell_length_c 8.272
_cell_angle_alpha 90.00
_cell_angle_beta 90.00
_cell_angle_gamma 90.00
loop_
_symmetry_equiv_pos_as_xyz
'x,y,z'
loop_
_atom_site_label
_atom_site_type_symbol
_atom_site_fract_x
_atom_site_fract_y
_atom_site_fract_z
La1 La 0.000 0.000 0.000
Nd1 Nd 0.500 0.500 0.451
S1 S 0.000 0.000 0.360
S2 S 0.000 0.500 0.722
S3 S 0.500 0.000 0.722
S4 S 0.500 0.500 0.093
```

[2]
Diffraction record for NbIn2N. The XRD peak list is calculated, not measured: it uses DFT lattice parameters and positions (PBE) and CuKα.
Kinematic intensities with the Lorentz-polarization factor, no thermal factor.

Main lines, low angle first (10° ≤ 2θ ≤ 80°):
32.3 deg, rel. 21, (1 0 0)
35.3 deg, rel. 21, (0 0 6)
37.0 deg, rel. 100, (1 0 3)
48.6 deg, rel. 16, (1 0 6)
57.7 deg, rel. 19, (1 1 0)
64.4 deg, rel. 15, (1 0 9)
69.4 deg, rel. 17, (1 1 6)
70.5 deg, rel. 15, (2 0 3)

Crystal structure
```
data_NbIn2N
_symmetry_space_group_name_H-M 'P 1'
_symmetry_Int_Tables_number 1
_cell_length_a 3.198
_cell_length_b 3.198
_cell_length_c 15.274
_cell_angle_alpha 90.00
_cell_angle_beta 90.00
_cell_angle_gamma 120.00
loop_
_symmetry_equiv_pos_as_xyz
'x,y,z'
loop_
_atom_site_label
_atom_site_type_symbol
_atom_site_fract_x
_atom_site_fract_y
_atom_site_fract_z
Nb1 Nb 0.333 0.667 0.250
Nb2 Nb 0.667 0.333 0.750
In1 In 0.333 0.667 0.593
In2 In 0.333 0.667 0.907
In3 In 0.667 0.333 0.093
In4 In 0.667 0.333 0.407
N1 N 0.000 0.000 0.000
N2 N 0.000 0.000 0.500
```